# Ac14DyTm
Simulated powder diffraction line list, Cu Kα. Input: a GGA-PBE-relaxed structure.
Neutral-atom scattering factors, no anomalous dispersion.

Crystal structure
a b c (Å): 7.857 7.857 11.176
angles (deg): 90.00 90.00 90.00
Space group P4/mmm (No. 123)
Inequivalent atoms, fractional coordinates:
Ac 0.000 0.000 0.000
Ac 0.000 0.500 0.000
Ac 0.000 0.500 0.500
Ac 0.250 0.250 0.257
Ac 0.500 0.500 0.000
Dy 0.000 0.000 0.500
Tm 0.500 0.500 0.500

Principal peaks in the range 10 to 90 degrees two-theta, low angle first:
2θ (°), d (Å), I_rel, hkl
27.8, 3.214, 100, 2 0 2
32.0, 2.794, 17, 0 0 4
32.2, 2.778, 34, 2 2 0
46.1, 1.970, 26, 2 2 4
46.2, 1.964, 13, 4 0 0
54.5, 1.683, 15, 2 0 6
54.8, 1.676, 32, 4 2 2
57.3, 1.607, 14, 4 0 4
74.2, 1.278, 13, 4 2 6
85.5, 1.135, 9, 6 2 4